(1)
KLi2CrCl6: theoretical powder diffractogram (CuKα), based on DFT lattice parameters and positions (PBE).
Intensities are scaled so that the largest is 1000.

Structure:
Lattice parameters (Å, degrees): 13.754 12.035 7.741 90.00 112.85 90.00
Space group C2/c (No. 15)
Unique sites:
K  0.000  0.145  0.250 x4
Li  0.082  0.436  0.154 x8
Cr  0.000  0.208  0.750 x4
Cl  0.105  0.094  0.680 x8
Cl  0.108  0.416  0.476 x8
Cl  0.123  0.260  0.031 x8

Top 10 peaks for 15 to 90 degrees two-theta, by angle:
Position (°2θ)  I (rel.)  index
19.30  260  0 2 1
23.26  230  1 3 0
24.30  216  1 1 -2
25.10  424  1 3 -1
27.73  277  1 3 1
29.48  436  1 1 2
29.56  228  4 0 -2
29.91  1000  3 3 -1
33.22  389  2 0 2
48.19  176  5 3 1

---

(2)
Ba2In2Sn2P: theoretical powder diffractogram (CuKα), based on DFT lattice parameters and positions (PBE).
Intensities are scaled so that the largest is 1000.

Structure:
Lattice parameters (Å, degrees): 13.211 4.339 8.402 90.00 107.85 90.00
Space group C2/m (No. 12)
Unique sites:
Ba  0.002  0.000  0.232 x4
In  0.209  0.500  0.625 x4
Sn  0.201  0.500  0.075 x4
P  0.000  0.500  0.500 x2

Top 10 peaks for 15 to 90 degrees two-theta, by angle:
Position (°2θ)  I (rel.)  index
28.39  151  4 0 0
29.61  1000  1 1 -2
29.93  176  2 0 2
30.30  165  4 0 -2
41.29  94  3 1 2
41.64  247  0 2 0
43.06  87  2 0 -4
52.11  93  2 2 2
55.36  118  7 1 0
68.63  90  1 3 -2

---

(3)
Zn3InGa3: theoretical powder diffractogram (CuKα), based on DFT lattice parameters and positions (PBE).
Intensities are scaled so that the largest is 1000.

Structure:
Lattice parameters (Å, degrees): 7.8525 7.8525 5.0148 90.00 90.00 120.00
Space group P6_3/mmc (No. 194)
Unique sites:
Zn  0.0916  0.5458  0.2500 x6
In  0.3333  0.6667  0.7500 x2
Ga  0.1131  0.2261  0.2500 x6

Top 10 peaks for 15 to 90 degrees two-theta, by angle:
Position (°2θ)  I (rel.)  index
31.80  809  2 0 1
34.91  500  2 1 0
35.81  661  0 0 2
39.39  278  2 1 1
43.83  1000  3 0 1
50.87  332  2 1 2
51.79  295  3 1 1
69.92  233  3 0 3
72.18  218  3 3 0
83.28  293  3 3 2

---

(4)
Ti4HO7: theoretical powder diffractogram (CuKα), based on DFT lattice parameters and positions (PBE).
Intensities are scaled so that the largest is 1000.

Structure:
Lattice parameters (Å, degrees): 9.765 2.941 9.277 90.00 102.96 90.00
Space group Cm (No. 8)
Unique sites:
Ti  0.000  0.000  0.000 x2
Ti  0.010  0.500  0.276 x2
Ti  0.207  0.000  0.731 x2
Ti  0.422  0.500  0.594 x2
H  0.222  0.500  0.026 x2
O  0.064  0.500  0.659 x2
O  0.115  0.000  0.212 x2
O  0.134  0.500  0.950 x2
O  0.275  0.000  0.557 x2
O  0.359  0.500  0.804 x2
O  0.393  0.000  0.084 x2
O  0.451  0.500  0.393 x2

Top 10 peaks for 15 to 90 degrees two-theta, by angle:
Position (°2θ)  I (rel.)  index
18.65  923  2 0 0
19.03  341  2 0 -1
22.99  1000  2 0 1
29.64  399  0 0 3
31.37  544  2 0 -3
36.52  520  1 1 -2
41.54  735  3 1 -1
41.89  370  3 1 0
43.66  434  3 1 -2
49.53  586  3 1 2